(1)
The following is a computed powder diffractogram of U3Pa. It was derived from a crystal structure in the Materials Project, relaxed with GGA-PBE, using Cu Kα.
Lines closer than 0.1° are merged.

The 10 most intense peaks (2θ from 10° to 90°), sorted by position:
2θ/deg  d [Å]  I (rel.)
34.00  2.637  29
35.84  2.506  100
45.02  2.014  27
57.59  1.600  26
62.05  1.496  21
65.56  1.424  9
71.57  1.318  4
75.95  1.253  12
77.03  1.238  24
88.68  1.103  9

Structure:
Unit cell a=5.993 b=5.993 c=5.993 alpha=140.73 beta=140.73 gamma=56.74
Element x y z (fractional)
1 U 0.000 0.000 0.000
2 U 0.250 0.750 0.500
3 U 0.750 0.250 0.500
4 Pa 0.500 0.500 0.000


(2)
The following is a computed powder diffractogram of Ba2ScTaO6. It was derived from a crystal structure in the Materials Project, relaxed with GGA-PBE, using Cu Kα.
Lines closer than 0.1° are merged.

The 12 most intense peaks (2θ from 10° to 90°), sorted by position:
2θ/deg  d [Å]  I (rel.)
18.48  4.801  20
30.41  2.940  100
35.82  2.507  11
43.54  2.079  30
47.67  1.908  5
54.03  1.697  40
57.60  1.600  4
63.27  1.470  19
66.53  1.405  4
71.80  1.315  18
79.94  1.200  6
87.87  1.111  22

Structure:
Unit cell a=5.879 b=5.879 c=5.879 alpha=60.00 beta=60.00 gamma=60.00
Element x y z (fractional)
1 Ba 0.250 0.250 0.250
2 Ba 0.750 0.750 0.750
3 Sc 0.000 0.000 0.000
4 Ta 0.500 0.500 0.500
5 O 0.257 0.257 0.743
6 O 0.257 0.743 0.257
7 O 0.257 0.743 0.743
8 O 0.743 0.257 0.257
9 O 0.743 0.257 0.743
10 O 0.743 0.743 0.257


Repeat the second record exactly.
The following is a computed powder diffractogram of Ba2ScTaO6. It was derived from a crystal structure in the Materials Project, relaxed with GGA-PBE, using Cu Kα.
Lines closer than 0.1° are merged.

The 12 most intense peaks (2θ from 10° to 90°), sorted by position:
2θ/deg  d [Å]  I (rel.)
18.48  4.801  20
30.41  2.940  100
35.82  2.507  11
43.54  2.079  30
47.67  1.908  5
54.03  1.697  40
57.60  1.600  4
63.27  1.470  19
66.53  1.405  4
71.80  1.315  18
79.94  1.200  6
87.87  1.111  22

Structure:
Unit cell a=5.879 b=5.879 c=5.879 alpha=60.00 beta=60.00 gamma=60.00
Element x y z (fractional)
1 Ba 0.250 0.250 0.250
2 Ba 0.750 0.750 0.750
3 Sc 0.000 0.000 0.000
4 Ta 0.500 0.500 0.500
5 O 0.257 0.257 0.743
6 O 0.257 0.743 0.257
7 O 0.257 0.743 0.743
8 O 0.743 0.257 0.257
9 O 0.743 0.257 0.743
10 O 0.743 0.743 0.257